# 1
Simulated powder diffraction line list of Ac8Te3IrRh3 for Cu Kα (λ = 1.5418 Å), from DFT lattice parameters and positions (PBE).
Intensities are scaled so that the largest is 100.

Top 8 peaks for 10° ≤ 2θ ≤ 90°, sorted by position:
2θ (°)  intensity
10.94  17.9
24.53  14.9
27.69  100.0
35.03  13.3
37.94  31.7
41.12  38.8
50.27  13.2
66.91  16.9

Structure:
Cell: 8.774 8.783 9.540 Å, 62.70 62.66 60.06°
Fractional positions:
Ac 0.231 0.240 0.298
Ac 0.232 0.731 0.298
Ac 0.260 0.269 0.702
Ac 0.264 0.764 0.708
Ac 0.736 0.236 0.292
Ac 0.740 0.731 0.298
Ac 0.768 0.269 0.702
Ac 0.769 0.760 0.702
Te 0.000 0.000 0.000
Te 0.000 0.500 0.000
Te 0.500 0.500 0.000
Ir 0.000 0.500 0.500
Rh 0.000 0.000 0.500
Rh 0.500 0.000 0.500
Rh 0.500 0.500 0.500

=====

# 2
Simulated powder diffraction line list of Ac12IrRu4 for Cu Kα (λ = 1.5418 Å), from DFT lattice parameters and positions (PBE).
Intensities are scaled so that the largest is 100.

Top 8 peaks for 10° ≤ 2θ ≤ 90°, sorted by position:
2θ (°)  intensity
15.99  22.9
25.41  100.0
27.88  25.3
30.17  76.7
32.28  23.7
39.85  26.7
47.83  35.7
50.80  31.7

Structure:
Cell: 9.599 9.599 9.599 Å, 109.61 109.48 109.33°
Fractional positions:
Ac 0.007 0.818 0.189
Ac 0.203 0.525 0.322
Ac 0.203 0.881 0.678
Ac 0.290 0.322 0.612
Ac 0.290 0.678 0.969
Ac 0.370 0.182 0.189
Ac 0.630 0.818 0.811
Ac 0.710 0.322 0.031
Ac 0.710 0.678 0.388
Ac 0.797 0.119 0.322
Ac 0.797 0.475 0.678
Ac 0.993 0.182 0.811
Ir 0.000 0.500 0.500
Ru 0.000 0.000 0.500
Ru 0.000 0.500 0.000
Ru 0.500 0.000 0.000
Ru 0.500 0.500 0.500

=====

# 3
Simulated powder diffraction line list of Ac6Ir3Ru for Cu Kα (λ = 1.5418 Å), from DFT lattice parameters and positions (PBE).
Intensities are scaled so that the largest is 100.

Top 8 peaks for 10° ≤ 2θ ≤ 90°, sorted by position:
2θ (°)  intensity
23.89  41.7
28.13  62.9
28.85  92.8
29.34  54.4
30.91  100.0
37.77  44.1
39.73  48.6
41.37  75.7

Structure:
Cell: 12.327 4.365 12.579 Å, 90.00 109.95 90.00°
Fractional positions:
Ac 0.041 0.250 0.392
Ac 0.102 0.250 0.938
Ac 0.242 0.750 0.274
Ac 0.295 0.750 0.756
Ac 0.397 0.250 0.550
Ac 0.427 0.750 0.101
Ac 0.573 0.250 0.899
Ac 0.603 0.750 0.450
Ac 0.705 0.250 0.244
Ac 0.758 0.250 0.726
Ac 0.898 0.750 0.062
Ac 0.959 0.750 0.608
Ir 0.067 0.250 0.167
Ir 0.197 0.750 0.503
Ir 0.340 0.250 0.922
Ir 0.660 0.750 0.078
Ir 0.803 0.250 0.497
Ir 0.933 0.750 0.833
Ru 0.455 0.250 0.306
Ru 0.545 0.750 0.694